[1]
Starting from a DFT-relaxed cell (PBE, Alexandria), the X-ray diffraction stick pattern of PrNd4Ho5 was calculated for CuKα.
Lines closer than 0.1° are merged.

Largest 8 diffraction maxima, sorted by position, 2θ from 15° to 90°:
2θ (°)  I (rel.)  (hkl)
25.79  25  0 1 -3
26.81  30  1 1 -1
31.10  38  0 3 0
31.46  19  0 2 3
31.62  43  0 0 4
33.60  100  1 -1 2
33.69  34  1 2 -2
47.98  21  1 1 5

Structure:
Unit cell a=3.5518 b=8.8051 c=11.3083 alpha=89.78 beta=89.97 gamma=78.50
Space group P-1 (No. 2)
One atom of each set of equivalent atoms:
Pr (0.0000, 0.0000, 0.0000) x1
Nd (0.1555, 0.6871, 0.2500) x2
Nd (0.4701, 0.0637, 0.2528) x2
Ho (0.0000, 0.0000, 0.5000) x1
Ho (0.3243, 0.3502, 0.0532) x2
Ho (0.3267, 0.3460, 0.4530) x2

***

[2]
Starting from a DFT-relaxed cell (PBE, Alexandria), the X-ray diffraction stick pattern of Nd8Co3NCl4 was calculated for CuKα.
Lines closer than 0.1° are merged.

Largest 8 diffraction maxima, sorted by position, 2θ from 15° to 90°:
2θ (°)  I (rel.)  (hkl)
27.45  21  4 0 -2
27.59  42  2 2 0
30.78  53  4 0 0
30.92  100  2 2 -2
38.76  23  2 2 -3
41.86  38  2 2 2
46.40  37  6 2 -2
52.41  23  4 0 -5

Structure:
Unit cell a=13.5834 b=7.7829 c=8.7355 alpha=90.00 beta=121.20 gamma=90.00
Space group C2/m (No. 12)
One atom of each set of equivalent atoms:
Nd (0.0143, 0.2389, 0.3066) x8
Nd (0.2267, 0.0000, 0.6942) x4
Nd (0.2353, 0.5000, 0.7036) x4
Co (0.0000, 0.5000, 0.5000) x2
Co (0.2500, 0.2500, 0.5000) x4
N (0.0000, 0.0000, 0.5000) x2
Cl (0.0000, 0.0000, 0.0000) x2
Cl (0.0000, 0.5000, 0.0000) x2
Cl (0.2500, 0.2500, 0.0000) x4

***

[3]
Starting from a DFT-relaxed cell (PBE, Alexandria), the X-ray diffraction stick pattern of Mg3Hg3Pb was calculated for CuKα.
Lines closer than 0.1° are merged.

Largest 8 diffraction maxima, sorted by position, 2θ from 15° to 90°:
2θ (°)  I (rel.)  (hkl)
23.30  41  2 0 0
26.10  82  2 1 0
28.64  100  2 1 1
42.70  23  3 2 0
44.39  62  3 2 1
47.64  27  4 0 0
55.12  22  4 2 1
65.88  20  5 2 0

Structure:
Unit cell a=7.6352 b=7.6352 c=7.6352 alpha=90.00 beta=90.00 gamma=90.00
Space group Pm-3n (No. 223)
One atom of each set of equivalent atoms:
Mg (0.0000, 0.2500, 0.5000) x6
Hg (0.0000, 0.5000, 0.2500) x6
Pb (0.0000, 0.0000, 0.0000) x2

***

[4]
Starting from a DFT-relaxed cell (PBE, Alexandria), the X-ray diffraction stick pattern of KNaCeBr5 was calculated for CuKα.
Lines closer than 0.1° are merged.

Largest 8 diffraction maxima, sorted by position, 2θ from 15° to 90°:
2θ (°)  I (rel.)  (hkl)
18.10  96  1 1 -2
21.84  80  0 2 2
23.22  63  2 2 -1
25.03  100  1 3 1
25.58  77  1 1 -3
31.65  73  3 1 0
36.80  63  3 3 0
38.75  60  1 3 -4

Structure:
Unit cell a=9.2642 b=13.7191 c=10.8092 alpha=90.00 beta=110.72 gamma=90.00
Space group C2/c (No. 15)
One atom of each set of equivalent atoms:
K (0.0000, 0.1372, 0.2500) x4
Na (0.0000, 0.1868, 0.7500) x4
Ce (0.0000, 0.5000, 0.0000) x4
Br (0.0000, 0.4088, 0.2500) x4
Br (0.1301, 0.3140, 0.6144) x8
Br (0.1822, 0.0587, 0.9515) x8

***

Repeat the second record exactly.
Starting from a DFT-relaxed cell (PBE, Alexandria), the X-ray diffraction stick pattern of Nd8Co3NCl4 was calculated for CuKα.
Lines closer than 0.1° are merged.

Largest 8 diffraction maxima, sorted by position, 2θ from 15° to 90°:
2θ (°)  I (rel.)  (hkl)
27.45  21  4 0 -2
27.59  42  2 2 0
30.78  53  4 0 0
30.92  100  2 2 -2
38.76  23  2 2 -3
41.86  38  2 2 2
46.40  37  6 2 -2
52.41  23  4 0 -5

Structure:
Unit cell a=13.5834 b=7.7829 c=8.7355 alpha=90.00 beta=121.20 gamma=90.00
Space group C2/m (No. 12)
One atom of each set of equivalent atoms:
Nd (0.0143, 0.2389, 0.3066) x8
Nd (0.2267, 0.0000, 0.6942) x4
Nd (0.2353, 0.5000, 0.7036) x4
Co (0.0000, 0.5000, 0.5000) x2
Co (0.2500, 0.2500, 0.5000) x4
N (0.0000, 0.0000, 0.5000) x2
Cl (0.0000, 0.0000, 0.0000) x2
Cl (0.0000, 0.5000, 0.0000) x2
Cl (0.2500, 0.2500, 0.0000) x4